No. 1
# La12Tb3Cd
Theoretical powder XRD pattern, CuKα. Input: a structure optimized by DFT (GGA-PBE).

Atomic structure:
```
data_La12Tb3Cd
_chemical_formula_sum 'La12 Tb3 Cd1'
_cell_length_a 5.173
_cell_length_b 5.173
_cell_length_c 20.833
_cell_angle_alpha 90.00
_cell_angle_beta 90.00
_cell_angle_gamma 90.00
_symmetry_space_group_name_H-M 'P 4/m m m'
_symmetry_Int_Tables_number 123
_symmetry_space_group_name_Hall '-P 4 2'
loop_
_atom_site_label
_atom_site_fract_x
_atom_site_fract_y
_atom_site_fract_z
La1 0.000 0.000 0.000
La2 0.000 0.000 0.248
La3 0.000 0.000 0.500
La4 0.000 0.500 0.122
La5 0.000 0.500 0.374
Tb1 0.500 0.500 0.247
Tb2 0.500 0.500 0.500
Cd1 0.500 0.500 0.000
```

Largest 10 diffraction maxima, low angle first, 2θ from 10° to 80°:
| index | d_spacing | intensity |
| --- | --- | --- |
| 1 1 4 | 2.994 | 100 |
| 0 0 8 | 2.604 | 17 |
| 2 0 0 | 2.587 | 34 |
| 2 0 8 | 1.835 | 24 |
| 2 2 0 | 1.829 | 12 |
| 1 1 12 | 1.568 | 14 |
| 3 1 4 | 1.561 | 28 |
| 2 2 8 | 1.497 | 12 |
| 0 0 16 | 1.302 | 2 |
| 4 0 0 | 1.293 | 4 |


No. 2
# YTc
Theoretical powder XRD pattern, CuKα. Input: a structure optimized by DFT (GGA-PBE).

Atomic structure:
```
data_YTc
_chemical_formula_sum 'Y6 Tc6'
_cell_length_a 3.351
_cell_length_b 13.367
_cell_length_c 6.105
_cell_angle_alpha 90.00
_cell_angle_beta 90.00
_cell_angle_gamma 90.00
_symmetry_space_group_name_H-M 'I m m 2'
_symmetry_Int_Tables_number 44
loop_
_symmetry_equiv_pos_as_xyz
'x,y,z'
'-x,-y,z'
'-x,y,z'
'x,-y,z'
'x+1/2,y+1/2,z+1/2'
'-x+1/2,-y+1/2,z+1/2'
'-x+1/2,y+1/2,z+1/2'
'x+1/2,-y+1/2,z+1/2'
loop_
_atom_site_label
_atom_site_fract_x
_atom_site_fract_y
_atom_site_fract_z
Y1 0.000 0.000 0.000
Y2 0.000 0.293 0.230
Tc1 0.000 0.000 0.500
Tc2 0.000 0.386 0.815
```

Largest 10 diffraction maxima, low angle first, 2θ from 10° to 80°:
| index | d_spacing | intensity |
| --- | --- | --- |
| 0 1 1 | 5.553 | 48 |
| 0 2 2 | 2.777 | 64 |
| 1 2 1 | 2.690 | 35 |
| 1 3 0 | 2.678 | 100 |
| 0 5 1 | 2.449 | 49 |
| 0 4 2 | 2.254 | 27 |
| 1 1 2 | 2.225 | 81 |
| 1 4 1 | 2.206 | 45 |
| 1 5 2 | 1.724 | 25 |
| 2 5 1 | 1.383 | 21 |


No. 3
# Nd3Pd5Au
Theoretical powder XRD pattern, CuKα. Input: a structure optimized by DFT (GGA-PBE).

Atomic structure:
```
data_Nd3Pd5Au
_chemical_formula_sum 'Nd12 Pd20 Au4'
_cell_length_a 8.583
_cell_length_b 8.583
_cell_length_c 11.130
_cell_angle_alpha 90.00
_cell_angle_beta 90.00
_cell_angle_gamma 90.00
_symmetry_space_group_name_H-M 'I 4/m c m'
_symmetry_Int_Tables_number 140
_symmetry_space_group_name_Hall '-I 4 2c'
loop_
_atom_site_label
_atom_site_fract_x
_atom_site_fract_y
_atom_site_fract_z
Nd1 0.000 0.000 0.250
Nd2 0.129 0.371 0.000
Pd1 0.000 0.000 0.000
Pd2 0.194 0.306 0.361
Au1 0.000 0.500 0.250
```

Largest 10 diffraction maxima, low angle first, 2θ from 10° to 80°:
| index | d_spacing | intensity |
| --- | --- | --- |
| 2 2 0 | 3.034 | 77 |
| 3 1 0 | 2.714 | 26 |
| 2 1 3 | 2.667 | 100 |
| 3 1 2 | 2.439 | 29 |
| 2 0 4 | 2.335 | 84 |
| 3 2 1 | 2.328 | 23 |
| 4 0 2 | 2.002 | 28 |
| 2 1 5 | 1.926 | 15 |
| 4 1 3 | 1.815 | 25 |
| 4 2 4 | 1.580 | 27 |